AcSm4Rh4: computed powder diffraction line list (Cu Kα (λ = 1.5418 Å)), based on a structure optimized by DFT (GGA-PBE).

Cell and atoms:
```
data_AcSm4Rh4
_chemical_formula_sum 'Ac2 Sm8 Rh8'
_symmetry_space_group_name_H-M 'P 42/n'
_symmetry_Int_Tables_number 86
_cell_length_a 9.167
_cell_length_b 9.167
_cell_length_c 5.717
_cell_angle_alpha 90.00
_cell_angle_beta 90.00
_cell_angle_gamma 90.00
loop_
_symmetry_equiv_pos_as_xyz
'x,y,z'
'-x,-y,-z'
'-y,x+1/2,z+1/2'
'y,-x+1/2,-z+1/2'
'-x+1/2,-y+1/2,z'
'x+1/2,y+1/2,-z'
'y+1/2,-x,z+1/2'
'-y+1/2,x,-z+1/2'
loop_
_atom_site_label
_atom_site_fract_x
_atom_site_fract_y
_atom_site_fract_z
_atom_site_occupancy
Ac1 0.250 0.250 0.250 1
Sm1 0.077 0.653 0.176 1
Rh1 0.041 0.621 0.671 1
```

Main lines, low angle first (10 to 80 degrees two-theta):
h k l  2θ (°)  I/Imax
1 0 1  18.29  22
2 1 1  26.76  36
1 3 0  30.84  100
0 0 2  31.29  23
1 0 2  32.82  28
2 3 1  38.76  17
3 0 2  43.34  18
4 1 1  43.68  14
4 2 0  44.18  32
1 3 2  44.51  33
3 2 2  47.88  14
4 2 2  55.13  15

Y2TcB10: computed powder diffraction line list (Cu Kα (λ = 1.5418 Å)), based on a structure optimized by DFT (GGA-PBE).

Cell and atoms:
```
data_Y2TcB10
_chemical_formula_sum 'Y4 Tc2 B20'
_symmetry_space_group_name_H-M 'P b a m'
_symmetry_Int_Tables_number 55
_cell_length_a 5.749
_cell_length_b 11.427
_cell_length_c 4.165
_cell_angle_alpha 90.00
_cell_angle_beta 90.00
_cell_angle_gamma 90.00
loop_
_symmetry_equiv_pos_as_xyz
'x,y,z'
'-x,-y,-z'
'-x,-y,z'
'x,y,-z'
'x+1/2,-y+1/2,-z'
'-x+1/2,y+1/2,z'
'-x+1/2,y+1/2,-z'
'x+1/2,-y+1/2,z'
loop_
_atom_site_label
_atom_site_fract_x
_atom_site_fract_y
_atom_site_fract_z
_atom_site_occupancy
Y1 0.222 0.132 0.000 1
Tc1 0.000 0.500 0.500 1
B1 0.063 0.307 0.500 1
B2 0.120 0.959 0.500 1
B3 0.128 0.802 0.500 1
B4 0.227 0.381 0.200 1
```

Main lines, low angle first (10 to 80 degrees two-theta):
h k l  2θ (°)  I/Imax
1 1 0  17.27  31
1 2 0  21.93  50
0 2 1  26.48  24
1 1 1  27.57  47
1 3 0  28.10  22
1 2 1  30.78  100
2 0 1  38.03  69
0 4 1  38.20  74
0 0 2  43.45  25
2 4 0  44.72  45
1 2 2  49.19  26
2 4 2  64.12  21

Mg14CdBi: computed powder diffraction line list (Cu Kα (λ = 1.5418 Å)), based on a structure optimized by DFT (GGA-PBE).

Cell and atoms:
```
data_Mg14CdBi
_chemical_formula_sum 'Mg14 Cd1 Bi1'
_symmetry_space_group_name_H-M 'P 4/m m m'
_symmetry_Int_Tables_number 123
_symmetry_space_group_name_Hall '-P 4 2'
_cell_length_a 6.385
_cell_length_b 6.385
_cell_length_c 9.159
_cell_angle_alpha 90.00
_cell_angle_beta 90.00
_cell_angle_gamma 90.00
loop_
_atom_site_label
_atom_site_fract_x
_atom_site_fract_y
_atom_site_fract_z
_atom_site_occupancy
Mg1 0.000 0.000 0.000 1
Mg2 0.000 0.500 0.000 1
Mg3 0.000 0.500 0.500 1
Mg4 0.246 0.246 0.246 1
Mg5 0.500 0.500 0.000 1
Cd1 0.000 0.000 0.500 1
Bi1 0.500 0.500 0.500 1
```

Main lines, low angle first (10 to 80 degrees two-theta):
h k l  2θ (°)  I/Imax
0 0 2  19.38  16
1 1 0  19.66  30
1 1 1  21.95  47
1 1 2  27.75  27
2 0 1  29.63  24
2 0 2  34.24  100
1 1 3  35.50  14
0 0 4  39.35  17
2 2 0  39.94  33
3 1 1  46.03  14
2 2 4  57.31  22
4 2 2  68.89  25

Ac3HIr2: computed powder diffraction line list (Cu Kα (λ = 1.5418 Å)), based on a structure optimized by DFT (GGA-PBE).

Cell and atoms:
```
data_Ac3HIr2
_chemical_formula_sum 'Ac12 H4 Ir8'
_symmetry_space_group_name_H-M 'P n m a'
_symmetry_Int_Tables_number 62
_cell_length_a 8.524
_cell_length_b 4.279
_cell_length_c 17.002
_cell_angle_alpha 90.00
_cell_angle_beta 90.00
_cell_angle_gamma 90.00
loop_
_symmetry_equiv_pos_as_xyz
'x,y,z'
'-x,-y,-z'
'-x+1/2,-y,z+1/2'
'x+1/2,y,-z+1/2'
'x+1/2,-y+1/2,-z+1/2'
'-x+1/2,y+1/2,z+1/2'
'-x,y+1/2,-z'
'x,-y+1/2,z'
loop_
_atom_site_label
_atom_site_fract_x
_atom_site_fract_y
_atom_site_fract_z
_atom_site_occupancy
Ac1 0.026 0.250 0.100 1
Ac2 0.133 0.750 0.430 1
Ac3 0.171 0.250 0.724 1
H1 0.106 0.250 0.867 1
Ir1 0.099 0.250 0.282 1
Ir2 0.250 0.250 0.535 1
```

Main lines, low angle first (10 to 80 degrees two-theta):
h k l  2θ (°)  I/Imax
1 1 2  25.54  46
2 0 3  26.16  24
1 0 5  28.26  24
2 0 4  29.68  21
2 1 1  30.05  45
2 1 2  31.45  100
0 0 6  31.57  21
3 0 1  31.93  20
0 1 5  33.66  33
1 1 5  35.32  51
3 1 1  38.39  24
0 2 0  42.24  39